Computed X-ray diffraction stick pattern of Pm3Bi4Pd3 for copper Kα, from a GGA-PBE-relaxed structure.
No peak broadening, texture or thermal motion is included.

Largest 12 diffraction maxima, sorted by position, 2θ from 10° to 80°:
hkl  2θ (°)  I (rel.)
3 1 0  27.88  37
3 2 1  33.13  100
4 2 0  39.84  22
4 2 2  43.83  21
4 3 1  45.72  18
6 1 1  56.02  11
6 2 0  57.61  13
5 4 1  59.18  8
6 3 1  62.23  9
4 4 4  63.72  8
7 1 0  65.20  8
5 5 2  68.09  9

a = 10.1186 Å, b = 10.1186 Å, c = 10.1186 Å
α = 90.00°, β = 90.00°, γ = 90.00°
Space group I-43d (No. 220)
Inequivalent atoms, fractional coordinates:
Pm 0.0000 0.2500 0.8750 (multiplicity 12)
Bi 0.0837 0.4163 0.5837 (multiplicity 16)
Pd 0.0000 0.2500 0.3750 (multiplicity 12)